Record 1
Diffraction record for Ba2SrLa2Hg5. The powder X-ray diffraction pattern is simulated, not measured: it uses a cell relaxed with PBE and CuKα.
Kinematic intensities with the Lorentz-polarization factor, no thermal factor.

Structure:
```
Ba2SrLa2Hg5
1.0
12.620 0.000 0.000
0.000 12.620 0.000
0.000 0.000 4.374
Ba Sr La Hg
4 2 4 10
direct
0.173 0.327 0.000
0.327 0.827 0.000
0.673 0.173 0.000
0.827 0.673 0.000
0.000 0.000 0.000
0.500 0.500 0.000
0.128 0.628 0.000
0.372 0.128 0.000
0.628 0.872 0.000
0.872 0.372 0.000
0.000 0.500 0.500
0.082 0.812 0.500
0.188 0.082 0.500
0.312 0.582 0.500
0.418 0.312 0.500
0.500 0.000 0.500
0.582 0.688 0.500
0.688 0.418 0.500
0.812 0.918 0.500
0.918 0.188 0.500
```

Peak list (10 most intense, 10° ≤ 2θ ≤ 90°, sorted by position)
2θ (°)  Rel. int.
29.18  39
30.32  100
31.71  14
32.77  42
41.28  24
50.26  16
51.18  13
51.35  16
57.16  15
67.77  11

=====

Record 2
Diffraction record for MgGeTe4Pb2. The powder X-ray diffraction pattern is simulated, not measured: it uses a cell relaxed with PBE and CuKα.
Kinematic intensities with the Lorentz-polarization factor, no thermal factor.

Structure:
```
MgGeTe4Pb2
1.0
7.643 0.000 0.000
0.000 4.427 0.000
-2.558 0.000 7.320
Mg Ge Te Pb
1 1 4 2
direct
0.000 0.000 0.000
0.500 0.500 0.000
0.239 0.500 0.222
0.257 0.000 0.778
0.743 0.000 0.222
0.761 0.500 0.778
0.000 0.500 0.500
0.500 0.000 0.500
```

Peak list (10 most intense, 10° ≤ 2θ ≤ 90°, sorted by position)
2θ (°)  Rel. int.
12.09  10
23.58  12
28.43  100
30.99  16
40.44  36
40.83  39
50.45  14
58.82  12
66.28  10
66.93  12

=====

Record 3
Diffraction record for DyAlZn2Ag4. The powder X-ray diffraction pattern is simulated, not measured: it uses a cell relaxed with PBE and CuKα.
Kinematic intensities with the Lorentz-polarization factor, no thermal factor.

Structure:
```
DyAlZn2Ag4
1.0
2.268 1.310 8.370
-2.268 1.310 8.370
0.000 -2.619 8.370
Dy Al Zn Ag
1 1 2 4
direct
0.000 0.000 0.000
0.500 0.500 0.500
0.253 0.253 0.253
0.747 0.747 0.747
0.131 0.131 0.131
0.396 0.396 0.396
0.604 0.604 0.604
0.869 0.869 0.869
```

Peak list (10 most intense, 10° ≤ 2θ ≤ 90°, sorted by position)
2θ (°)  Rel. int.
28.85  18
33.84  37
36.65  89
39.74  100
53.16  10
55.16  26
69.83  22
70.10  25
72.12  16
85.64  10